Record 1
For Li3MnVP3O12, a DFT-relaxed cell (PBE+U, Alexandria) gives the calculated powder diffractogram in this record (λ = 1.5418 Å (Cu Kα)).

Cell and atoms:
a b c (Å): 15.193 8.439 9.500
angles (deg): 90.00 125.93 90.00
Space group Cc (No. 9)
Symmetry-distinct sites (fractional):
Li: 0.000 0.080 0.000 (multiplicity 4)
Li: 0.160 0.364 0.545 (multiplicity 4)
Li: 0.318 0.101 0.591 (multiplicity 4)
Mn: 0.225 0.232 0.147 (multiplicity 4)
V: 0.448 0.242 0.990 (multiplicity 4)
P: 0.199 0.104 0.785 (multiplicity 4)
P: 0.352 0.457 0.627 (multiplicity 4)
P: 0.475 0.109 0.345 (multiplicity 4)
O: 0.005 0.437 0.417 (multiplicity 4)
O: 0.068 0.276 0.974 (multiplicity 4)
O: 0.109 0.224 0.662 (multiplicity 4)
O: 0.161 0.062 0.198 (multiplicity 4)
O: 0.224 0.089 0.965 (multiplicity 4)
O: 0.262 0.442 0.123 (multiplicity 4)
O: 0.286 0.317 0.509 (multiplicity 4)
O: 0.300 0.160 0.792 (multiplicity 4)
O: 0.375 0.174 0.334 (multiplicity 4)
O: 0.409 0.447 0.065 (multiplicity 4)
O: 0.440 0.405 0.819 (multiplicity 4)
O: 0.450 0.101 0.163 (multiplicity 4)

Principal peaks in the range 2θ = 10–80°, sorted by position:
| two_theta | I_rel | (hkl) |
| --- | --- | --- |
| 14.04 | 100 | 1 1 -1 |
| 18.70 | 53 | 2 0 -2 |
| 20.49 | 63 | 3 1 -1 |
| 22.39 | 83 | 1 1 -2 |
| 24.12 | 72 | 3 1 0 |
| 24.31 | 60 | 2 2 -1 |
| 28.31 | 52 | 2 2 -2 |
| 30.17 | 72 | 3 1 -3 |

***

Record 2
For Li2MnVP4O14, a DFT-relaxed cell (PBE+U, Alexandria) gives the calculated powder diffractogram in this record (λ = 1.5418 Å (Cu Kα)).

Cell and atoms:
a b c (Å): 4.854 7.079 8.340
angles (deg): 88.31 89.48 71.46
Space group P1 (No. 1)
Symmetry-distinct sites (fractional):
Li: 0.000 0.000 0.000 (multiplicity 1)
Li: 0.351 0.656 0.503 (multiplicity 1)
Mn: 0.968 0.056 0.643 (multiplicity 1)
V: 0.389 0.603 0.143 (multiplicity 1)
P: 0.398 0.237 0.430 (multiplicity 1)
P: 0.579 0.806 0.820 (multiplicity 1)
P: 0.779 0.847 0.325 (multiplicity 1)
P: 0.961 0.416 0.932 (multiplicity 1)
O: 0.043 0.217 0.850 (multiplicity 1)
O: 0.122 0.185 0.471 (multiplicity 1)
O: 0.218 0.486 0.970 (multiplicity 1)
O: 0.321 0.439 0.343 (multiplicity 1)
O: 0.366 0.850 0.678 (multiplicity 1)
O: 0.425 0.824 0.982 (multiplicity 1)
O: 0.568 0.725 0.318 (multiplicity 1)
O: 0.583 0.079 0.301 (multiplicity 1)
O: 0.583 0.231 0.580 (multiplicity 1)
O: 0.767 0.576 0.797 (multiplicity 1)
O: 0.772 0.417 0.081 (multiplicity 1)
O: 0.788 0.931 0.816 (multiplicity 1)
O: 0.934 0.821 0.485 (multiplicity 1)
O: 0.988 0.815 0.181 (multiplicity 1)

Principal peaks in the range 2θ = 10–80°, sorted by position:
| two_theta | I_rel | (hkl) |
| --- | --- | --- |
| 16.73 | 100 | 0 1 1 |
| 17.20 | 92 | 0 1 -1 |
| 22.06 | 38 | 1 0 -1 |
| 22.18 | 41 | 1 1 1 |
| 22.53 | 43 | 1 1 -1 |
| 26.75 | 37 | 1 -1 0 |
| 28.87 | 72 | 1 1 2 |
| 29.41 | 50 | 1 1 -2 |

***

Record 3
For Li3MnVP3O12, a DFT-relaxed cell (PBE+U, Alexandria) gives the calculated powder diffractogram in this record (λ = 1.5418 Å (Cu Kα)).

Cell and atoms:
a b c (Å): 8.386 8.419 9.255
angles (deg): 116.73 90.50 119.59
Space group P-1 (No. 2)
Symmetry-distinct sites (fractional):
Li: 0.177 0.117 0.371 (multiplicity 2)
Li: 0.258 0.698 0.871 (multiplicity 2)
Li: 0.314 0.555 0.131 (multiplicity 2)
Mn: 0.140 0.782 0.436 (multiplicity 2)
V: 0.343 0.185 0.031 (multiplicity 2)
P: 0.049 0.277 0.243 (multiplicity 2)
P: 0.267 0.312 0.755 (multiplicity 2)
P: 0.458 0.006 0.245 (multiplicity 2)
O: 0.052 0.283 0.411 (multiplicity 2)
O: 0.130 0.490 0.254 (multiplicity 2)
O: 0.143 0.397 0.761 (multiplicity 2)
O: 0.165 0.176 0.163 (multiplicity 2)
O: 0.166 0.875 0.876 (multiplicity 2)
O: 0.216 0.121 0.583 (multiplicity 2)
O: 0.238 0.245 0.894 (multiplicity 2)
O: 0.260 0.915 0.272 (multiplicity 2)
O: 0.373 0.861 0.601 (multiplicity 2)
O: 0.454 0.806 0.097 (multiplicity 2)
O: 0.481 0.148 0.167 (multiplicity 2)
O: 0.486 0.494 0.816 (multiplicity 2)

Principal peaks in the range 2θ = 10–80°, sorted by position:
| two_theta | I_rel | (hkl) |
| --- | --- | --- |
| 14.22 | 78 | 1 0 -1 |
| 19.32 | 88 | 1 0 1 |
| 23.90 | 100 | 1 1 0 |
| 24.08 | 52 | 1 -2 2 |
| 28.71 | 27 | 2 0 -2 |
| 30.95 | 42 | -1 2 1 |
| 31.02 | 37 | 1 1 -3 |
| 31.22 | 32 | 2 -1 2 |

***

Record 4
For LiPaMn2O8, a DFT-relaxed cell (PBE+U, Alexandria) gives the calculated powder diffractogram in this record (λ = 1.5418 Å (Cu Kα)).

Cell and atoms:
a b c (Å): 7.073 7.073 6.260
angles (deg): 90.00 90.00 90.00
Space group I-4m2 (No. 119)
Symmetry-distinct sites (fractional):
Li: 0.000 0.000 0.000 (multiplicity 2)
Pa: 0.000 0.500 0.250 (multiplicity 2)
Mn: 0.000 0.000 0.500 (multiplicity 2)
Mn: 0.000 0.500 0.750 (multiplicity 2)
O: 0.000 0.191 0.333 (multiplicity 8)
O: 0.000 0.321 0.936 (multiplicity 8)

Principal peaks in the range 2θ = 10–80°, sorted by position:
| two_theta | I_rel | (hkl) |
| --- | --- | --- |
| 17.73 | 84 | 1 1 0 |
| 18.93 | 89 | 1 0 1 |
| 25.18 | 100 | 2 0 0 |
| 31.69 | 42 | 2 1 1 |
| 33.78 | 67 | 1 1 2 |
| 38.40 | 27 | 2 0 2 |
| 40.32 | 21 | 3 1 0 |
| 50.13 | 60 | 3 1 2 |

***

Record 5
For LiPa2MnO6, a DFT-relaxed cell (PBE+U, Alexandria) gives the calculated powder diffractogram in this record (λ = 1.5418 Å (Cu Kα)).

Cell and atoms:
a b c (Å): 5.102 5.102 5.251
angles (deg): 90.00 90.00 90.00
Space group P4mm (No. 99)
Symmetry-distinct sites (fractional):
Li: 0.000 0.000 0.000 (multiplicity 1)
Pa: 0.000 0.500 0.418 (multiplicity 2)
Mn: 0.500 0.500 0.979 (multiplicity 1)
O: 0.000 0.000 0.609 (multiplicity 1)
O: 0.248 0.248 0.184 (multiplicity 4)
O: 0.500 0.500 0.597 (multiplicity 1)

Principal peaks in the range 2θ = 10–80°, sorted by position:
| two_theta | I_rel | (hkl) |
| --- | --- | --- |
| 16.89 | 70 | 0 0 1 |
| 24.68 | 41 | 1 1 0 |
| 30.05 | 100 | 1 1 1 |
| 35.18 | 31 | 2 0 0 |
| 39.27 | 34 | 2 0 1 |
| 42.59 | 31 | 1 1 2 |
| 49.84 | 30 | 2 0 2 |
| 59.99 | 29 | 3 1 1 |

***

Record 6
For Li2MnPdO, a DFT-relaxed cell (PBE+U, Alexandria) gives the calculated powder diffractogram in this record (λ = 1.5418 Å (Cu Kα)).

Cell and atoms:
a b c (Å): 3.942 3.942 4.158
angles (deg): 90.00 90.00 90.00
Space group P4/mmm (No. 123)
Symmetry-distinct sites (fractional):
Li: 0.000 0.500 0.000 (multiplicity 2)
Mn: 0.000 0.000 0.500 (multiplicity 1)
Pd: 0.500 0.500 0.500 (multiplicity 1)
O: 0.000 0.000 0.000 (multiplicity 1)

Principal peaks in the range 2θ = 10–80°, sorted by position:
| two_theta | I_rel | (hkl) |
| --- | --- | --- |
| 21.37 | 90 | 0 0 1 |
| 31.27 | 35 | 1 0 1 |
| 32.11 | 100 | 1 1 0 |
| 38.90 | 100 | 1 1 1 |
| 46.05 | 44 | 2 0 0 |
| 51.30 | 34 | 2 0 1 |
| 55.11 | 39 | 1 1 2 |
| 65.23 | 29 | 2 0 2 |

***

Record 7
For LiPrMn4O12, a DFT-relaxed cell (PBE+U, Alexandria) gives the calculated powder diffractogram in this record (λ = 1.5418 Å (Cu Kα)).

Cell and atoms:
a b c (Å): 5.321 5.321 7.609
angles (deg): 90.00 90.00 90.00
Space group P4/mmm (No. 123)
Symmetry-distinct sites (fractional):
Li: 0.000 0.000 0.000 (multiplicity 1)
Pr: 0.500 0.500 0.500 (multiplicity 1)
Mn: 0.000 0.500 0.242 (multiplicity 4)
O: 0.000 0.500 0.000 (multiplicity 2)
O: 0.000 0.500 0.500 (multiplicity 2)
O: 0.257 0.257 0.261 (multiplicity 8)

Principal peaks in the range 2θ = 10–80°, sorted by position:
| two_theta | I_rel | (hkl) |
| --- | --- | --- |
| 11.63 | 61 | 0 0 1 |
| 16.66 | 62 | 1 0 0 |
| 20.37 | 83 | 1 0 1 |
| 26.43 | 44 | 1 1 1 |
| 33.50 | 100 | 1 1 2 |
| 33.69 | 50 | 2 0 0 |
| 48.38 | 56 | 2 2 0 |
| 60.13 | 37 | 3 1 2 |

***

Record 8
For LiMnReO6, a DFT-relaxed cell (PBE+U, Alexandria) gives the calculated powder diffractogram in this record (λ = 1.5418 Å (Cu Kα)).

Cell and atoms:
a b c (Å): 4.651 4.651 8.761
angles (deg): 90.00 90.00 90.00
Space group P4_2nm (No. 102)
Symmetry-distinct sites (fractional):
Li: 0.000 0.000 0.000 (multiplicity 2)
Mn: 0.000 0.000 0.326 (multiplicity 2)
Re: 0.000 0.000 0.667 (multiplicity 2)
O: 0.182 0.182 0.496 (multiplicity 4)
O: 0.210 0.210 0.172 (multiplicity 4)
O: 0.210 0.210 0.809 (multiplicity 4)

Principal peaks in the range 2θ = 10–80°, sorted by position:
| two_theta | I_rel | (hkl) |
| --- | --- | --- |
| 20.27 | 34 | 0 0 2 |
| 21.63 | 100 | 1 0 1 |
| 27.12 | 73 | 1 1 0 |
| 34.09 | 33 | 1 1 2 |
| 36.32 | 48 | 1 0 3 |
| 44.79 | 28 | 2 1 1 |
| 54.14 | 45 | 2 1 3 |
| 68.53 | 14 | 3 0 3 |